# Tm7AlSe5
Calculated X-ray powder pattern, Cu Kα, 1.54184 Å. Input: a GGA-PBE-relaxed structure.

Structural model:
```
data_Tm7AlSe5
_chemical_formula_sum 'Tm28 Al4 Se20'
_cell_length_a 3.9476
_cell_length_b 13.2722
_cell_length_c 23.9417
_cell_angle_alpha 90.00
_cell_angle_beta 90.00
_cell_angle_gamma 90.00
_symmetry_space_group_name_H-M 'C m c 21'
_symmetry_Int_Tables_number 36
_symmetry_space_group_name_Hall 'C 2c -2'
loop_
_atom_site_label
_atom_site_fract_x
_atom_site_fract_y
_atom_site_fract_z
Tm1 0.0000 0.0213 0.0000
Tm2 0.0000 0.1384 0.2861
Tm3 0.0000 0.1394 0.7139
Tm4 0.0000 0.3107 0.0702
Tm5 0.0000 0.3114 0.9298
Tm6 0.0000 0.4022 0.3722
Tm7 0.0000 0.4029 0.6275
Al1 0.0000 0.3107 0.4999
Se1 0.0000 0.0513 0.3904
Se2 0.0000 0.0510 0.6095
Se3 0.0000 0.2225 0.1779
Se4 0.0000 0.2235 0.8221
Se5 0.0000 0.4995 0.2500
```

Main lines, low angle first (5 to 70 degrees two-theta):
3.198 Å, 27.90°, rel. 38; 3.040 Å, 29.38°, rel. 73; 2.923 Å, 30.58°, rel. 39; 2.860 Å, 31.27°, rel. 100; 2.763 Å, 32.40°, rel. 52; 2.728 Å, 32.83°, rel. 47; 2.176 Å, 41.50°, rel. 42; 2.001 Å, 45.32°, rel. 31; 1.974 Å, 45.98°, rel. 39; 1.656 Å, 55.51°, rel. 29